The following is a computed powder diffraction line list of KZn2Cd2As3. It was derived from the GGA-PBE geometry in OQMD, using Cu Kα (weighted mean of Kα1 and Kα2).
Lines closer than 0.1° are merged.

Main lines, sorted by position (10° ≤ 2θ ≤ 90°):
(hkl)  d (Å)  intensity
1 0 4  3.448  45
0 1 5  3.326  48
1 0 10  2.646  88
1 0 13  2.287  47
1 1 0  2.138  100
1 1 15  1.631  41

Cell and atoms:
```
data_KZn2Cd2As3
_chemical_formula_sum 'K3 Zn6 Cd6 As9'
_space_group_name_H-M_alt 'R -3 m'
_space_group_IT_number 166
_space_group_name_Hall '-R 3 2"'
_cell_length_a 4.2762
_cell_length_b 4.2762
_cell_length_c 37.8130
_cell_angle_alpha 90.00
_cell_angle_beta 90.00
_cell_angle_gamma 120.00
loop_
_atom_site_label
_atom_site_type_symbol
_atom_site_fract_x
_atom_site_fract_y
_atom_site_fract_z
K1 K 0.0000 0.0000 0.0000
Zn1 Zn 0.0000 0.0000 0.4059
Cd1 Cd 0.0000 0.0000 0.2000
As1 As 0.0000 0.0000 0.2711
As2 As 0.0000 0.0000 0.5000
```